Theoretical PXRD pattern of Ba13Cd2 for Cu Kα (weighted mean of Kα1 and Kα2), from a crystal structure in Alexandria, relaxed with PBE.
Peak positions follow from Bragg's law for the DFT cell and can differ from measured ones.

Atomic structure:
```
data_Ba13Cd2
_cell_length_a 8.2903
_cell_length_b 10.2022
_cell_length_c 11.4669
_cell_angle_alpha 63.61
_cell_angle_beta 81.56
_cell_angle_gamma 79.99
_space_group_name_H-M_alt 'P -1'
_space_group_IT_number 2
loop_
_space_group_symop_operation_xyz
'x,y,z'
'-x,-y,-z'
loop_
_atom_site_label
_atom_site_type_symbol
_atom_site_fract_x
_atom_site_fract_y
_atom_site_fract_z
_atom_site_occupancy
Ba1 Ba 0.0000 0.0000 0.0000 1
Ba2 Ba 0.0270 0.2034 0.3554 1
Ba3 Ba 0.1733 0.6526 0.3546 1
Ba4 Ba 0.2374 0.5792 0.0083 1
Ba5 Ba 0.2975 0.3507 0.7540 1
Ba6 Ba 0.4340 0.0767 0.1474 1
Ba7 Ba 0.4924 0.7700 0.5732 1
Cd1 Cd 0.1902 0.0602 0.6737 1
```

Peak list (10 most intense, 10 to 80 degrees two-theta, sorted by position)
2θ (°)	I_rel	(hkl)
22.8	39	2 1 0
23.6	28	0 1 3
24.4	55	-1 2 2
24.6	100	0 2 -1
25.7	64	2 2 1
27.0	31	0 3 2
27.2	26	1 3 2
27.4	71	2 -1 1
29.1	62	1 0 -3
30.3	22	2 2 3


Theoretical PXRD pattern of SiHgSb for Cu Kα (weighted mean of Kα1 and Kα2), from a crystal structure in Alexandria, relaxed with PBE.
Peak positions follow from Bragg's law for the DFT cell and can differ from measured ones.

Atomic structure:
```
data_SiHgSb
_cell_length_a 3.9888
_cell_length_b 3.9888
_cell_length_c 5.5834
_cell_angle_alpha 90.00
_cell_angle_beta 90.00
_cell_angle_gamma 120.00
_space_group_name_H-M_alt 'P 3 m 1'
_space_group_IT_number 156
loop_
_space_group_symop_operation_xyz
'x,y,z'
'-y,x-y,z'
'-x+y,-x,z'
'-y,-x,z'
'-x+y,y,z'
'x,x-y,z'
loop_
_atom_site_label
_atom_site_type_symbol
_atom_site_fract_x
_atom_site_fract_y
_atom_site_fract_z
_atom_site_occupancy
Si1 Si 0.0000 0.0000 0.0000 1
Hg1 Hg 0.6667 0.3333 0.3297 1
Sb1 Sb 0.3333 0.6667 0.7602 1
```

Peak list (10 most intense, 10 to 80 degrees two-theta, sorted by position)
2θ (°)	I_rel	(hkl)
25.8	20	1 0 0
30.4	100	1 0 1
32.1	13	0 0 2
41.6	25	0 1 2
45.5	25	1 1 0
55.7	18	0 2 1
56.1	13	1 0 3
56.7	16	1 1 2
63.3	7	2 0 2
74.7	16	2 1 1


Theoretical PXRD pattern of Al2Zn3Au8 for Cu Kα (weighted mean of Kα1 and Kα2), from a crystal structure in Alexandria, relaxed with PBE.
Peak positions follow from Bragg's law for the DFT cell and can differ from measured ones.

Atomic structure:
```
data_Al2Zn3Au8
_cell_length_a 7.4095
_cell_length_b 13.7007
_cell_length_c 4.5581
_cell_angle_alpha 90.00
_cell_angle_beta 90.00
_cell_angle_gamma 90.00
_space_group_name_H-M_alt 'C m m m'
_space_group_IT_number 65
_space_group_name_Hall '-C 2 2'
loop_
_atom_site_label
_atom_site_type_symbol
_atom_site_fract_x
_atom_site_fract_y
_atom_site_fract_z
_atom_site_occupancy
Al1 Al 0.0000 0.2237 0.0000 1
Zn1 Zn 0.0000 0.0000 0.0000 1
Zn2 Zn 0.1878 0.5000 0.5000 1
Au1 Au 0.0000 0.1161 0.5000 1
Au2 Au 0.0000 0.3244 0.5000 1
Au3 Au 0.2075 0.3877 0.0000 1
```

Peak list (10 most intense, 10 to 80 degrees two-theta, sorted by position)
2θ (°)	I_rel	(hkl)
26.0	43	0 4 0
31.1	87	2 0 1
37.0	21	3 1 0
39.5	51	0 0 2
40.3	55	1 5 1
41.0	100	2 4 1
47.9	17	0 4 2
55.2	15	3 1 2
72.7	19	2 4 3
75.9	23	5 5 1